1.
Structure and computed PXRD pattern of Cs2AlSnF6 (a DFT-relaxed cell (PBE, Alexandria); Cu Kα (weighted mean of Kα1 and Kα2)).
Kinematic intensities with the Lorentz-polarization factor, no thermal factor.

The 12 most intense peaks (2θ from 10° to 80°), by angle:
d 3.386, 26.32 deg, I 100
d 3.021, 29.57 deg, I 34
d 2.776, 32.25 deg, I 21
d 2.654, 33.78 deg, I 14
d 2.182, 41.37 deg, I 8
d 2.136, 42.31 deg, I 23
d 2.044, 44.32 deg, I 16
d 1.807, 50.52 deg, I 32
d 1.698, 54.00 deg, I 17
d 1.693, 54.18 deg, I 17
d 1.380, 67.95 deg, I 8
d 1.329, 70.89 deg, I 15

```
data_Cs2AlSnF6
_symmetry_space_group_name_H-M 'I 4/m m m'
_symmetry_Int_Tables_number 139
_symmetry_space_group_name_Hall '-I 4 2'
_cell_length_a 6.042
_cell_length_b 6.042
_cell_length_c 11.103
_cell_angle_alpha 90.00
_cell_angle_beta 90.00
_cell_angle_gamma 90.00
loop_
_atom_site_label
_atom_site_type_symbol
_atom_site_fract_x
_atom_site_fract_y
_atom_site_fract_z
_atom_site_occupancy
Cs1 Cs 0.000 0.500 0.250 1
Al1 Al 0.000 0.000 0.000 1
Sn1 Sn 0.000 0.000 0.500 1
F1 F 0.000 0.000 0.163 1
F2 F 0.218 0.218 0.000 1
```


2.
Structure and computed PXRD pattern of AcMnSb (a DFT-relaxed cell (PBE, Alexandria); Cu Kα (weighted mean of Kα1 and Kα2)).
Kinematic intensities with the Lorentz-polarization factor, no thermal factor.

The 12 most intense peaks (2θ from 10° to 80°), by angle:
d 3.484, 25.57 deg, I 34
d 3.408, 26.15 deg, I 20
d 3.371, 26.44 deg, I 40
d 3.062, 29.17 deg, I 100
d 2.782, 32.17 deg, I 81
d 2.697, 33.22 deg, I 48
d 2.580, 34.78 deg, I 44
d 2.365, 38.04 deg, I 29
d 2.243, 40.20 deg, I 20
d 1.993, 45.52 deg, I 31
d 1.919, 47.37 deg, I 27
d 1.531, 60.48 deg, I 29

```
data_AcMnSb
_symmetry_space_group_name_H-M 'F d d d'
_symmetry_Int_Tables_number 70
_cell_length_a 8.496
_cell_length_b 11.422
_cell_length_c 13.934
_cell_angle_alpha 90.00
_cell_angle_beta 90.00
_cell_angle_gamma 90.00
loop_
_symmetry_equiv_pos_as_xyz
'x,y,z'
'-x,-y,-z'
'-x+1/4,-y+1/4,z'
'x+1/4,y+1/4,-z'
'x,-y+1/4,-z+1/4'
'-x,y+1/4,z+1/4'
'-x+1/4,y,-z+1/4'
'x+1/4,-y,z+1/4'
'x,y+1/2,z+1/2'
'-x,-y+1/2,-z+1/2'
'-x+1/4,-y+3/4,z+1/2'
'x+1/4,y+3/4,-z+1/2'
'x,-y+3/4,-z+3/4'
'-x,y+3/4,z+3/4'
'-x+1/4,y+1/2,-z+3/4'
'x+1/4,-y+1/2,z+3/4'
'x+1/2,y,z+1/2'
'-x+1/2,-y,-z+1/2'
'-x+3/4,-y+1/4,z+1/2'
'x+3/4,y+1/4,-z+1/2'
'x+1/2,-y+1/4,-z+3/4'
'-x+1/2,y+1/4,z+3/4'
'-x+3/4,y,-z+3/4'
'x+3/4,-y,z+3/4'
'x+1/2,y+1/2,z'
'-x+1/2,-y+1/2,-z'
'-x+3/4,-y+3/4,z'
'x+3/4,y+3/4,-z'
'x+1/2,-y+3/4,-z+1/4'
'-x+1/2,y+3/4,z+1/4'
'-x+3/4,y+1/2,-z+1/4'
'x+3/4,-y+1/2,z+1/4'
loop_
_atom_site_label
_atom_site_type_symbol
_atom_site_fract_x
_atom_site_fract_y
_atom_site_fract_z
_atom_site_occupancy
Ac1 Ac 0.000 0.000 0.000 1
Mn1 Mn 0.125 0.251 0.625 1
Sb1 Sb 0.125 0.125 0.457 1
```


3.
Structure and computed PXRD pattern of NbS (a DFT-relaxed cell (PBE, Alexandria); Cu Kα (weighted mean of Kα1 and Kα2)).
Kinematic intensities with the Lorentz-polarization factor, no thermal factor.

The 12 most intense peaks (2θ from 10° to 80°), by angle:
d 5.334, 16.62 deg, I 100
d 3.018, 29.60 deg, I 18
d 2.917, 30.65 deg, I 31
d 2.864, 31.23 deg, I 17
d 2.334, 38.57 deg, I 78
d 2.132, 42.39 deg, I 30
d 2.097, 43.13 deg, I 68
d 1.698, 54.02 deg, I 14
d 1.509, 61.46 deg, I 17
d 1.426, 65.43 deg, I 12
d 1.328, 70.97 deg, I 13
d 1.204, 79.59 deg, I 13

```
data_NbS
_symmetry_space_group_name_H-M 'A m m 2'
_symmetry_Int_Tables_number 38
_symmetry_space_group_name_Hall 'A 2 -2'
_cell_length_a 3.395
_cell_length_b 11.396
_cell_length_c 6.036
_cell_angle_alpha 90.00
_cell_angle_beta 90.00
_cell_angle_gamma 90.00
loop_
_atom_site_label
_atom_site_type_symbol
_atom_site_fract_x
_atom_site_fract_y
_atom_site_fract_z
_atom_site_occupancy
Nb1 Nb 0.000 0.000 0.000 1
Nb2 Nb 0.500 0.197 0.948 1
S1 S 0.000 0.171 0.251 1
S2 S 0.500 0.000 0.709 1
```


4.
Structure and computed PXRD pattern of Ac3Pr7Ho2 (a DFT-relaxed cell (PBE, Alexandria); Cu Kα (weighted mean of Kα1 and Kα2)).
Kinematic intensities with the Lorentz-polarization factor, no thermal factor.

The 12 most intense peaks (2θ from 10° to 80°), by angle:
d 3.119, 28.62 deg, I 22
d 3.016, 29.62 deg, I 27
d 2.991, 29.88 deg, I 100
d 2.955, 30.24 deg, I 30
d 2.946, 30.34 deg, I 60
d 2.825, 31.67 deg, I 50
d 2.683, 33.40 deg, I 43
d 2.087, 43.37 deg, I 22
d 1.904, 47.77 deg, I 17
d 1.709, 53.61 deg, I 20
d 1.599, 57.64 deg, I 20
d 1.553, 59.54 deg, I 17

```
data_Ac3Pr7Ho2
_symmetry_space_group_name_H-M 'P 1 2/m 1'
_symmetry_Int_Tables_number 10
_symmetry_space_group_name_Hall '-P 2y'
_cell_length_a 3.808
_cell_length_b 5.893
_cell_length_c 21.178
_cell_angle_alpha 90.00
_cell_angle_beta 95.20
_cell_angle_gamma 90.00
loop_
_atom_site_label
_atom_site_type_symbol
_atom_site_fract_x
_atom_site_fract_y
_atom_site_fract_z
_atom_site_occupancy
Ac1 Ac 0.000 0.000 0.000 1
Ac2 Ac 0.322 0.500 0.649 1
Pr1 Pr 0.091 0.500 0.177 1
Pr2 Pr 0.217 0.000 0.436 1
Pr3 Pr 0.427 0.000 0.858 1
Pr4 Pr 0.500 0.500 0.000 1
Ho1 Ho 0.143 0.000 0.280 1
```


Q: Which formula does entry 1 have?
A: Cs2AlSnF6